The following is a simulated powder diffraction line list of Li4MnCu3P4O16. It was derived from the PBE+U geometry in Alexandria, using Cu Ka.
No peak broadening, texture or thermal motion is included.

Most intense lines, 15° ≤ 2θ ≤ 90°, low angle first:
- (0 0 2), 17.5 deg, 5.066 Å, I 54.1
- (1 0 -1), 20.5 deg, 4.343 Å, I 50.9
- (1 0 1), 20.7 deg, 4.281 Å, I 37.9
- (1 1 -1), 25.1 deg, 3.546 Å, I 57.8
- (1 1 1), 25.4 deg, 3.511 Å, I 76.7
- (0 2 0), 29.1 deg, 3.072 Å, I 100.0
- (1 1 -3), 35.4 deg, 2.533 Å, I 60.7
- (1 1 3), 36.0 deg, 2.496 Å, I 81.2
- (0 1 4), 38.4 deg, 2.342 Å, I 31.0
- (0 1 6), 56.5 deg, 1.628 Å, I 28.6

Structural model:
abc: 4.7652 6.1444 10.1345
angles: 90.00 91.07 90.00
Space group Pm (No. 6)
Symmetry-distinct sites (fractional):
Li 0.0000 0.2474 0.0000 x2
Li 0.5104 0.2481 0.4874 x2
Mn 0.9783 0.0000 0.7096 x1
Cu 0.0494 0.5000 0.2769 x1
Cu 0.4449 0.5000 0.7796 x1
Cu 0.5467 0.0000 0.2076 x1
P 0.0923 0.0000 0.3891 x1
P 0.4263 0.0000 0.9038 x1
P 0.5763 0.5000 0.0882 x1
P 0.9221 0.5000 0.5863 x1
O 0.2166 0.0000 0.5317 x1
O 0.2238 0.2025 0.3191 x2
O 0.2475 0.5000 0.5983 x1
O 0.2519 0.5000 0.0950 x1
O 0.2870 0.1999 0.8318 x2
O 0.3053 0.0000 0.0463 x1
O 0.6815 0.5000 0.9426 x1
O 0.7174 0.2982 0.1563 x2
O 0.7475 0.0000 0.9025 x1
O 0.7672 0.0000 0.3851 x1
O 0.7851 0.2966 0.6499 x2
O 0.8191 0.5000 0.4381 x1